This entry pairs a crystal structure of Cs6K4Au with its calculated powder X-ray diffraction pattern. Radiation: Cu Kα (weighted mean of Kα1 and Kα2). Structure: DFT lattice parameters and positions (PBE).
Intensities are scaled so that the largest is 100.

Largest 10 diffraction maxima, sorted by position, 2θ from 5° to 70°:
| h k l | 2θ (°) | intensity |
| --- | --- | --- |
| 1 0 1 | 10.03 | 92 |
| 1 1 0 | 10.25 | 63 |
| 2 2 0 | 20.57 | 41 |
| 2 1 2 | 21.42 | 100 |
| 1 0 3 | 22.13 | 56 |
| 3 1 0 | 23.03 | 95 |
| 4 2 0 | 32.80 | 38 |
| 3 2 3 | 33.83 | 49 |
| 3 1 4 | 36.53 | 40 |
| 4 1 3 | 36.99 | 36 |

Atomic structure:
```
data_Cs6K4Au
_symmetry_space_group_name_H-M 'P 1'
_symmetry_Int_Tables_number 1
_symmetry_space_group_name_Hall 'P 1'
_cell_length_a 12.2107
_cell_length_b 12.2107
_cell_length_c 12.7613
_cell_angle_alpha 90.00
_cell_angle_beta 90.00
_cell_angle_gamma 90.00
loop_
_atom_site_label
_atom_site_fract_x
_atom_site_fract_y
_atom_site_fract_z
Cs1 0.0000 0.0000 0.2134
Cs2 0.0000 0.0000 0.7866
Cs3 0.1383 0.2772 0.5000
Cs4 0.2228 0.3617 0.0000
Cs5 0.2772 0.8617 0.5000
Cs6 0.3617 0.7772 0.0000
Cs7 0.5000 0.5000 0.2866
Cs8 0.5000 0.5000 0.7134
Cs9 0.6383 0.2228 0.0000
Cs10 0.7228 0.1383 0.5000
Cs11 0.7772 0.6383 0.0000
Cs12 0.8617 0.7228 0.5000
K1 0.1241 0.6241 0.2500
K2 0.1241 0.6241 0.7500
K3 0.3759 0.1241 0.2500
K4 0.3759 0.1241 0.7500
K5 0.6241 0.8759 0.2500
K6 0.6241 0.8759 0.7500
K7 0.8759 0.3759 0.2500
K8 0.8759 0.3759 0.7500
Au1 0.0000 0.0000 0.5000
Au2 0.5000 0.5000 0.0000
```